Diffraction record for Li2FeP2HO8. The PXRD pattern is calculated, not measured: it uses a DFT-relaxed cell (GGA+U, Alexandria) and a wavelength of 1.5418 Å.

The 10 most intense peaks (2θ = 10–90°), in order of rising 2θ:
16.27 deg, I 57, (0 1 1)
21.86 deg, I 25, (0 2 0)
22.55 deg, I 35, (1 1 -1)
24.85 deg, I 71, (1 0 1)
25.07 deg, I 40, (0 2 1)
29.01 deg, I 100, (1 1 -2)
29.61 deg, I 21, (1 2 -1)
32.88 deg, I 46, (0 2 2)
38.76 deg, I 22, (2 1 -1)
51.31 deg, I 18, (1 2 3)

Atomic structure:
```
data_Li2FeP2HO8
_chemical_formula_sum 'Li4 Fe2 P4 H2 O16'
_space_group_name_H-M_alt 'P 1 21 1'
_space_group_IT_number 4
_space_group_name_Hall 'P 2yb'
_cell_length_a 4.8673
_cell_length_b 8.1158
_cell_length_c 7.5893
_cell_angle_alpha 90.00
_cell_angle_beta 104.42
_cell_angle_gamma 90.00
loop_
_atom_site_label
_atom_site_type_symbol
_atom_site_fract_x
_atom_site_fract_y
_atom_site_fract_z
_atom_site_occupancy
Li1 Li 0.1332 0.0000 0.0927 1
Li2 Li 0.3547 0.2696 0.4087 1
Fe1 Fe 0.2484 0.6347 0.2541 1
P1 P 0.1184 0.9837 0.4815 1
P2 P 0.3829 0.2893 0.0134 1
H1 H 0.2760 0.6457 0.7608 1
O1 O 0.0055 0.5777 0.6982 1
O2 O 0.1012 0.4603 0.4034 1
O3 O 0.1360 0.1788 0.9117 1
O4 O 0.2344 0.8149 0.4369 1
O5 O 0.2680 0.4547 0.0644 1
O6 O 0.3681 0.0903 0.5911 1
O7 O 0.3935 0.8108 0.0968 1
O8 O 0.4881 0.6955 0.8013 1
```